For TlAg4Te4, DFT lattice parameters and positions (GGA-PBE) gives the simulated powder diffractogram in this record (a wavelength of 1.5418 Å).
Kinematic intensities with the Lorentz-polarization factor, no thermal factor.

Cell: 4.656 4.656 14.566 Å, 90.00 90.00 120.00°
Positions (direct):
Tl: 0.000 0.000 0.000
Ag: 0.333 0.667 0.201
Ag: 0.333 0.667 0.653
Ag: 0.667 0.333 0.347
Ag: 0.667 0.333 0.799
Te: 0.000 0.000 0.405
Te: 0.000 0.000 0.595
Te: 0.333 0.667 0.847
Te: 0.667 0.333 0.153

Largest 10 diffraction maxima, most intense first, 2θ from 5° to 70°:
25.25 deg, I = 100; 38.68 deg, I = 95; 28.78 deg, I = 56; 38.11 deg, I = 43; 50.16 deg, I = 31; 30.69 deg, I = 20; 46.75 deg, I = 19; 55.41 deg, I = 19; 69.62 deg, I = 17; 62.24 deg, I = 16

---

For TlAgTe2, DFT lattice parameters and positions (GGA-PBE) gives the simulated powder diffractogram in this record (a wavelength of 1.5418 Å).
Kinematic intensities with the Lorentz-polarization factor, no thermal factor.

Cell: 6.784 6.796 12.419 Å, 90.00 119.26 90.00°
Positions (direct):
Tl: 0.250 0.248 0.249
Tl: 0.250 0.252 0.749
Tl: 0.750 0.748 0.251
Tl: 0.750 0.752 0.751
Ag: 0.253 0.058 0.500
Ag: 0.253 0.442 0.000
Ag: 0.747 0.558 0.000
Ag: 0.747 0.942 0.500
Te: 0.164 0.727 0.621
Te: 0.164 0.773 0.121
Te: 0.334 0.722 0.379
Te: 0.334 0.778 0.879
Te: 0.666 0.222 0.121
Te: 0.666 0.278 0.621
Te: 0.836 0.227 0.879
Te: 0.836 0.273 0.379

Largest 10 diffraction maxima, most intense first, 2θ from 5° to 70°:
31.70 deg, I = 100; 37.50 deg, I = 70; 30.20 deg, I = 57; 31.08 deg, I = 47; 26.23 deg, I = 47; 30.28 deg, I = 46; 45.10 deg, I = 34; 26.33 deg, I = 33; 48.87 deg, I = 25; 50.91 deg, I = 20

---

For Tl2AgTe4, DFT lattice parameters and positions (GGA-PBE) gives the simulated powder diffractogram in this record (a wavelength of 1.5418 Å).
Kinematic intensities with the Lorentz-polarization factor, no thermal factor.

Cell: 9.199 9.199 9.199 Å, 107.78 86.91 138.46°
Positions (direct):
Tl: 0.098 0.222 0.320
Tl: 0.402 0.722 0.124
Tl: 0.598 0.278 0.876
Tl: 0.902 0.778 0.680
Ag: 0.250 0.750 0.500
Ag: 0.750 0.250 0.500
Te: 0.152 0.610 0.762
Te: 0.157 0.866 0.023
Te: 0.343 0.366 0.709
Te: 0.348 0.110 0.458
Te: 0.652 0.890 0.542
Te: 0.657 0.634 0.291
Te: 0.843 0.134 0.977
Te: 0.848 0.390 0.238

Largest 10 diffraction maxima, most intense first, 2θ from 5° to 70°:
31.30 deg, I = 100; 31.20 deg, I = 52; 27.34 deg, I = 49; 50.86 deg, I = 44; 38.59 deg, I = 40; 26.70 deg, I = 27; 32.02 deg, I = 24; 57.62 deg, I = 21; 60.88 deg, I = 21; 46.16 deg, I = 20